Diffraction record for LiFeP4O12. The powder diffractogram is theoretical, not measured: it uses the PBE+U geometry in the Materials Project and Cu Ka.

The 12 most intense peaks (2θ = 10–80°), sorted by position:
| Position (°2θ) | I (rel.) |
| --- | --- |
| 12.9 | 86 |
| 18.8 | 100 |
| 19.6 | 32 |
| 25.5 | 52 |
| 25.6 | 87 |
| 26.8 | 15 |
| 28.1 | 31 |
| 30.7 | 35 |
| 31.7 | 12 |
| 32.6 | 18 |
| 37.0 | 14 |
| 48.2 | 14 |

Atomic structure:
```
LiFeP4O12
1.0
7.537 -4.011 0.000
7.537 4.011 0.000
-4.284 0.000 8.100
Li Fe P O
2 2 8 24
Direct
0.000 0.000 0.000
0.000 0.000 0.500
0.337 0.663 0.750
0.663 0.337 0.250
0.052 0.649 0.896
0.294 0.424 0.363
0.351 0.948 0.604
0.424 0.294 0.863
0.576 0.706 0.137
0.649 0.052 0.396
0.706 0.576 0.637
0.948 0.351 0.104
0.012 0.785 0.057
0.095 0.726 0.800
0.126 0.395 0.214
0.209 0.579 0.506
0.215 0.988 0.443
0.219 0.431 0.912
0.274 0.905 0.700
0.395 0.126 0.714
0.405 0.459 0.297
0.421 0.791 0.994
0.431 0.219 0.412
0.459 0.405 0.797
0.541 0.595 0.203
0.569 0.781 0.588
0.579 0.209 0.006
0.595 0.541 0.703
0.605 0.874 0.286
0.726 0.095 0.300
0.781 0.569 0.088
0.785 0.012 0.557
0.791 0.421 0.494
0.874 0.605 0.786
0.905 0.274 0.200
0.988 0.215 0.943
```

***

Diffraction record for Li5Fe7O3F13. The powder diffractogram is theoretical, not measured: it uses the PBE+U geometry in the Materials Project and Cu Ka.

The 12 most intense peaks (2θ = 10–80°), sorted by position:
| Position (°2θ) | I (rel.) |
| --- | --- |
| 17.4 | 100 |
| 17.8 | 62 |
| 33.8 | 24 |
| 33.8 | 18 |
| 34.4 | 35 |
| 41.2 | 42 |
| 41.4 | 81 |
| 54.4 | 11 |
| 58.9 | 14 |
| 59.7 | 26 |
| 60.0 | 23 |
| 61.1 | 11 |

Atomic structure:
```
Li5Fe7O3F13
1.0
5.373 -3.035 0.000
5.373 3.035 0.000
-3.493 0.000 10.224
Li Fe O F
5 7 3 13
Direct
0.000 0.000 0.000
0.408 0.408 0.124
0.515 0.515 0.480
0.927 0.927 0.625
0.968 0.968 0.301
0.208 0.208 0.556
0.462 0.963 0.805
0.465 0.465 0.805
0.499 0.916 0.300
0.710 0.710 0.053
0.916 0.499 0.300
0.963 0.462 0.805
0.122 0.122 0.692
0.598 0.598 0.169
0.801 0.801 0.918
0.080 0.603 0.194
0.094 0.094 0.198
0.103 0.589 0.680
0.316 0.316 0.425
0.323 0.830 0.924
0.338 0.849 0.424
0.348 0.348 0.926
0.575 0.575 0.678
0.589 0.103 0.680
0.603 0.080 0.194
0.830 0.323 0.924
0.849 0.338 0.424
0.854 0.854 0.432
```

***

Diffraction record for Li9Mn7O16. The powder diffractogram is theoretical, not measured: it uses the PBE+U geometry in the Materials Project and Cu Ka.

The 12 most intense peaks (2θ = 10–80°), sorted by position:
| Position (°2θ) | I (rel.) |
| --- | --- |
| 18.3 | 100 |
| 34.0 | 18 |
| 36.2 | 24 |
| 40.9 | 35 |
| 44.2 | 55 |
| 46.9 | 10 |
| 58.2 | 9 |
| 61.6 | 18 |
| 62.0 | 16 |
| 63.7 | 11 |
| 64.8 | 7 |
| 79.6 | 7 |

Atomic structure:
```
Li9Mn7O16
1.0
5.845 0.000 0.000
0.000 5.753 0.000
-0.080 0.000 8.825
Li Mn O
9 7 16
Direct
0.000 0.000 0.000
0.000 0.000 0.500
0.000 0.500 0.000
0.248 0.246 0.741
0.248 0.754 0.741
0.500 0.000 0.500
0.500 0.500 0.500
0.752 0.246 0.259
0.752 0.754 0.259
0.000 0.500 0.500
0.246 0.249 0.259
0.246 0.751 0.259
0.500 0.000 0.000
0.500 0.500 0.000
0.754 0.249 0.741
0.754 0.751 0.741
0.016 0.500 0.243
0.024 0.000 0.245
0.236 0.261 0.487
0.236 0.739 0.487
0.272 0.249 0.006
0.272 0.751 0.006
0.474 0.500 0.250
0.481 0.000 0.256
0.519 0.000 0.744
0.526 0.500 0.750
0.728 0.249 0.994
0.728 0.751 0.994
0.764 0.261 0.513
0.764 0.739 0.513
0.976 0.000 0.755
0.984 0.500 0.757
```

***

Diffraction record for Li9Mn2Co5O16. The powder diffractogram is theoretical, not measured: it uses the PBE+U geometry in the Materials Project and Cu Ka.

The 12 most intense peaks (2θ = 10–80°), sorted by position:
| Position (°2θ) | I (rel.) |
| --- | --- |
| 18.3 | 100 |
| 35.7 | 15 |
| 36.1 | 27 |
| 43.3 | 27 |
| 43.7 | 55 |
| 47.7 | 9 |
| 57.5 | 10 |
| 62.8 | 7 |
| 63.0 | 15 |
| 63.4 | 14 |
| 64.2 | 7 |
| 66.6 | 8 |

Atomic structure:
```
Li9Mn2Co5O16
1.0
9.782 0.000 0.000
0.000 2.902 0.000
-1.849 0.000 10.109
Li Mn Co O
9 2 5 16
Direct
0.000 0.000 0.000
0.002 0.000 0.484
0.245 0.500 0.601
0.255 0.000 0.363
0.259 0.500 0.135
0.501 0.000 0.248
0.508 0.000 0.738
0.757 0.500 0.869
0.759 0.500 0.365
0.255 0.000 0.866
0.495 0.500 0.485
0.022 0.500 0.256
0.512 0.500 0.996
0.752 0.000 0.618
0.763 0.000 0.121
0.999 0.500 0.739
0.120 0.000 0.181
0.120 0.500 0.422
0.133 0.000 0.694
0.145 0.500 0.920
0.367 0.500 0.813
0.382 0.000 0.040
0.391 0.500 0.318
0.392 0.000 0.547
0.614 0.000 0.440
0.620 0.000 0.935
0.625 0.500 0.666
0.637 0.500 0.172
0.871 0.500 0.561
0.875 0.500 0.062
0.881 0.000 0.799
0.884 0.000 0.297
```

***

Diffraction record for YFeW2O8. The powder diffractogram is theoretical, not measured: it uses the PBE+U geometry in the Materials Project and Cu Ka.

The 12 most intense peaks (2θ = 10–80°), sorted by position:
| Position (°2θ) | I (rel.) |
| --- | --- |
| 17.7 | 78 |
| 23.3 | 55 |
| 23.4 | 57 |
| 28.1 | 100 |
| 28.5 | 98 |
| 29.6 | 86 |
| 29.8 | 87 |
| 34.4 | 60 |
| 34.9 | 40 |
| 35.5 | 38 |
| 35.8 | 40 |
| 61.4 | 42 |

Atomic structure:
```
YFeW2O8
1.0
5.232 0.000 0.000
0.113 5.852 0.000
0.653 0.044 10.026
Y Fe W O
2 2 4 16
Direct
0.000 0.000 0.000
0.495 0.352 0.519
0.493 0.360 0.996
0.999 0.983 0.522
0.008 0.508 0.764
0.494 0.841 0.265
0.495 0.836 0.755
0.997 0.505 0.254
0.129 0.285 0.639
0.153 0.310 0.131
0.189 0.785 0.162
0.205 0.758 0.643
0.302 0.562 0.357
0.306 0.580 0.874
0.338 0.033 0.391
0.374 0.055 0.882
0.629 0.048 0.142
0.653 0.040 0.616
0.679 0.559 0.664
0.698 0.576 0.154
0.792 0.770 0.365
0.827 0.786 0.854
0.850 0.309 0.902
0.861 0.300 0.376
```

***

Diffraction record for Zn2CrWO6. The powder diffractogram is theoretical, not measured: it uses the PBE+U geometry in the Materials Project and Cu Ka.

The 12 most intense peaks (2θ = 10–80°), sorted by position:
| Position (°2θ) | I (rel.) |
| --- | --- |
| 20.4 | 66 |
| 20.5 | 24 |
| 33.4 | 100 |
| 33.5 | 100 |
| 33.9 | 48 |
| 34.2 | 46 |
| 38.9 | 21 |
| 47.1 | 26 |
| 48.9 | 43 |
| 59.3 | 34 |
| 60.6 | 24 |
| 60.8 | 24 |

Atomic structure:
```
Zn2CrWO6
1.0
5.249 0.000 0.000
0.003 5.287 0.000
0.042 0.010 7.711
Zn Cr W O
4 2 2 12
Direct
0.009 0.029 0.250
0.491 0.529 0.250
0.509 0.471 0.750
0.991 0.971 0.750
0.000 0.500 0.500
0.500 0.000 0.000
0.000 0.500 0.000
0.500 0.000 0.500
0.115 0.415 0.249
0.173 0.176 0.932
0.177 0.173 0.561
0.323 0.673 0.939
0.326 0.677 0.568
0.385 0.915 0.251
0.615 0.085 0.749
0.674 0.323 0.432
0.677 0.327 0.061
0.823 0.827 0.439
0.827 0.824 0.068
0.885 0.585 0.751
```

***

Diffraction record for LiMnO2. The powder diffractogram is theoretical, not measured: it uses the PBE+U geometry in the Materials Project and Cu Ka.

The 12 most intense peaks (2θ = 10–80°), sorted by position:
| Position (°2θ) | I (rel.) |
| --- | --- |
| 18.2 | 100 |
| 34.8 | 44 |
| 36.5 | 13 |
| 36.8 | 4 |
| 42.4 | 85 |
| 46.5 | 14 |
| 56.3 | 14 |
| 61.3 | 24 |
| 61.8 | 22 |
| 64.6 | 15 |
| 73.7 | 4 |
| 77.4 | 11 |

Atomic structure:
```
LiMnO2
1.0
1.511 0.872 4.883
-1.511 0.872 4.883
0.000 -1.745 4.883
Li Mn O
1 1 2
Direct
0.000 0.000 0.000
0.500 0.500 0.500
0.242 0.242 0.242
0.758 0.758 0.758
```